Structure and simulated X-ray diffraction stick pattern of TbNd4Se6 (a crystal structure in Alexandria, relaxed with GGA-PBE; Cu Kα).
Intensities are scaled so that the largest is 100.

Structural model:
```
data_TbNd4Se6
_space_group_name_H-M_alt 'R -3 c'
_space_group_IT_number 167
_space_group_name_Hall '-R 3 2"c'
_cell_length_a 11.9067
_cell_length_b 11.9067
_cell_length_c 14.1777
_cell_angle_alpha 90.00
_cell_angle_beta 90.00
_cell_angle_gamma 120.00
loop_
_atom_site_label
_atom_site_fract_x
_atom_site_fract_y
_atom_site_fract_z
Tb1 0.0000 0.0000 0.0000
Nd1 0.0000 0.0000 0.2500
Nd2 0.0000 0.3861 0.2500
Se1 0.0298 0.2051 0.3854
```

The 12 most intense peaks (10° ≤ 2θ ≤ 80°), sorted by position:
- 3.701 Å, 24.04 deg, I 32, hkl 1 1 3
- 3.437 Å, 25.92 deg, I 84, hkl 3 0 0
- 2.921 Å, 30.61 deg, I 75, hkl 0 2 4
- 2.803 Å, 31.92 deg, I 100, hkl 1 3 1
- 2.652 Å, 33.80 deg, I 29, hkl 3 1 2
- 2.622 Å, 34.19 deg, I 98, hkl 2 1 4
- 2.519 Å, 35.65 deg, I 97, hkl 2 2 3
- 2.293 Å, 39.29 deg, I 27, hkl 1 2 5
- 2.250 Å, 40.07 deg, I 36, hkl 4 1 0
- 1.968 Å, 46.13 deg, I 55, hkl 3 2 4
- 1.652 Å, 55.63 deg, I 32, hkl 1 3 7
- 1.360 Å, 69.05 deg, I 39, hkl 3 5 4

---

Structure and simulated X-ray diffraction stick pattern of CePr6DyHo2 (a crystal structure in Alexandria, relaxed with GGA-PBE; Cu Kα).
Intensities are scaled so that the largest is 100.

Structural model:
```
data_CePr6DyHo2
_space_group_name_H-M_alt 'C 1 2/m 1'
_space_group_IT_number 12
_space_group_name_Hall '-C 2y'
_cell_length_a 11.303
_cell_length_b 7.136
_cell_length_c 8.902
_cell_angle_alpha 90.00
_cell_angle_beta 102.98
_cell_angle_gamma 90.00
loop_
_atom_site_label
_atom_site_fract_x
_atom_site_fract_y
_atom_site_fract_z
Ce1 0.000 0.000 0.000
Pr1 0.128 0.000 0.419
Pr2 0.171 0.267 0.797
Dy1 0.000 0.500 0.500
Ho1 0.092 0.500 0.162
```

The 12 most intense peaks (10° ≤ 2θ ≤ 80°), sorted by position:
- 3.325 Å, 26.81 deg, I 40, hkl 1 1 2
- 3.087 Å, 28.93 deg, I 31, hkl 2 0 2
- 2.994 Å, 29.84 deg, I 56, hkl 2 2 0
- 2.943 Å, 30.37 deg, I 100, hkl 2 2 -1
- 2.902 Å, 30.82 deg, I 43, hkl 3 1 -2
- 2.891 Å, 30.93 deg, I 31, hkl 0 0 3
- 2.872 Å, 31.14 deg, I 50, hkl 3 1 1
- 2.755 Å, 32.50 deg, I 59, hkl 0 2 2
- 2.738 Å, 32.71 deg, I 46, hkl 1 1 -3
- 2.729 Å, 32.81 deg, I 40, hkl 2 2 1
- 2.604 Å, 34.44 deg, I 34, hkl 4 0 -2
- 1.663 Å, 55.25 deg, I 31, hkl 2 2 4

---

Structure and simulated X-ray diffraction stick pattern of AcCuAsH2 (a crystal structure in Alexandria, relaxed with GGA-PBE; Cu Kα).
Intensities are scaled so that the largest is 100.

Structural model:
```
data_AcCuAsH2
_space_group_name_H-M_alt 'P 4 m m'
_space_group_IT_number 99
_space_group_name_Hall 'P 4 -2'
_cell_length_a 4.192
_cell_length_b 4.192
_cell_length_c 5.029
_cell_angle_alpha 90.00
_cell_angle_beta 90.00
_cell_angle_gamma 90.00
loop_
_atom_site_label
_atom_site_fract_x
_atom_site_fract_y
_atom_site_fract_z
Ac1 0.000 0.000 0.000
Cu1 0.500 0.500 0.316
As1 0.500 0.500 0.804
H1 0.000 0.500 0.297
```

The 12 most intense peaks (10° ≤ 2θ ≤ 80°), sorted by position:
- 5.029 Å, 17.63 deg, I 64, hkl 0 0 1
- 3.220 Å, 27.70 deg, I 92, hkl 1 0 1
- 2.964 Å, 30.15 deg, I 100, hkl 1 1 0
- 2.554 Å, 35.14 deg, I 48, hkl 1 1 1
- 2.156 Å, 41.89 deg, I 73, hkl 1 0 2
- 2.096 Å, 43.16 deg, I 39, hkl 2 0 0
- 1.935 Å, 46.97 deg, I 22, hkl 2 0 1
- 1.757 Å, 52.06 deg, I 33, hkl 2 1 1
- 1.503 Å, 61.72 deg, I 46, hkl 2 1 2
- 1.482 Å, 62.69 deg, I 13, hkl 2 2 0
- 1.326 Å, 71.12 deg, I 17, hkl 3 1 0
- 1.282 Å, 73.95 deg, I 12, hkl 3 1 1

---

Structure and simulated X-ray diffraction stick pattern of PrSm4Er4 (a crystal structure in Alexandria, relaxed with GGA-PBE; Cu Kα).
Intensities are scaled so that the largest is 100.

Structural model:
```
data_PrSm4Er4
_space_group_name_H-M_alt 'P -1'
_space_group_IT_number 2
_space_group_name_Hall '-P 1'
_cell_length_a 6.201
_cell_length_b 9.487
_cell_length_c 10.742
_cell_angle_alpha 100.85
_cell_angle_beta 106.70
_cell_angle_gamma 96.23
loop_
_atom_site_label
_atom_site_fract_x
_atom_site_fract_y
_atom_site_fract_z
Pr1 0.250 0.084 0.304
Sm1 0.249 0.748 0.082
Sm2 0.250 0.749 0.751
Sm3 0.251 0.085 0.641
Sm4 0.252 0.418 0.529
Er1 0.246 0.747 0.414
Er2 0.250 0.419 0.192
Er3 0.251 0.417 0.863
Er4 0.252 0.085 0.973
```

The 10 most intense peaks (10° ≤ 2θ ≤ 80°), sorted by position:
- 2.926 Å, 30.56 deg, I 100, hkl 2 0 0
- 2.534 Å, 35.43 deg, I 51, hkl 1 3 0
- 1.792 Å, 50.97 deg, I 36, hkl 3 2 -3
- 1.530 Å, 60.53 deg, I 11, hkl 3 3 0
- 1.528 Å, 60.62 deg, I 29, hkl -2 2 6
- 1.526 Å, 60.68 deg, I 4, hkl 3 1 -6
- 1.463 Å, 63.61 deg, I 12, hkl 4 0 0
- 1.268 Å, 74.86 deg, I 2, hkl 2 6 0
- 1.267 Å, 74.98 deg, I 2, hkl 2 -4 6
- 1.266 Å, 75.06 deg, I 2, hkl -4 2 6

---

Structure and simulated X-ray diffraction stick pattern of HoEr3Cd (a crystal structure in Alexandria, relaxed with GGA-PBE; Cu Kα).
Intensities are scaled so that the largest is 100.

Structural model:
```
data_HoEr3Cd
_space_group_name_H-M_alt 'C 1 2/m 1'
_space_group_IT_number 12
_space_group_name_Hall '-C 2y'
_cell_length_a 12.824
_cell_length_b 3.601
_cell_length_c 12.544
_cell_angle_alpha 90.00
_cell_angle_beta 94.22
_cell_angle_gamma 90.00
loop_
_atom_site_label
_atom_site_fract_x
_atom_site_fract_y
_atom_site_fract_z
Ho1 0.233 0.000 0.256
Er1 0.034 0.000 0.689
Er2 0.135 0.500 0.480
Er3 0.146 0.000 0.945
Cd1 0.060 0.500 0.127
```

The 12 most intense peaks (10° ≤ 2θ ≤ 80°), sorted by position:
- 3.058 Å, 29.20 deg, I 14, hkl 1 1 -2
- 2.895 Å, 30.89 deg, I 34, hkl 2 0 -4
- 2.765 Å, 32.37 deg, I 54, hkl 4 0 2
- 2.714 Å, 33.00 deg, I 91, hkl 3 1 -1
- 2.639 Å, 33.97 deg, I 100, hkl 1 1 3
- 2.502 Å, 35.89 deg, I 13, hkl 0 0 5
- 1.801 Å, 50.70 deg, I 16, hkl 0 2 0
- 1.701 Å, 53.90 deg, I 12, hkl 3 1 -6
- 1.602 Å, 57.54 deg, I 26, hkl 7 1 1
- 1.557 Å, 59.38 deg, I 16, hkl 5 1 5
- 1.509 Å, 61.45 deg, I 17, hkl 4 2 2
- 1.486 Å, 62.51 deg, I 14, hkl 7 1 -4

---

Structure and simulated X-ray diffraction stick pattern of CeHgH6Ru (a crystal structure in Alexandria, relaxed with GGA-PBE; Cu Kα).
Intensities are scaled so that the largest is 100.

Structural model:
```
data_CeHgH6Ru
_space_group_name_H-M_alt 'P -6 m 2'
_space_group_IT_number 187
_space_group_name_Hall 'P -6 2'
_cell_length_a 4.8358
_cell_length_b 4.8358
_cell_length_c 4.4896
_cell_angle_alpha 90.00
_cell_angle_beta 90.00
_cell_angle_gamma 120.00
loop_
_atom_site_label
_atom_site_fract_x
_atom_site_fract_y
_atom_site_fract_z
Ce1 0.0000 0.0000 0.0000
Hg1 0.3333 0.6667 0.5000
H1 0.5285 0.0570 0.2144
Ru1 0.6667 0.3333 0.5000
```

The 12 most intense peaks (10° ≤ 2θ ≤ 80°), sorted by position:
- 4.490 Å, 19.77 deg, I 12, hkl 0 0 1
- 4.188 Å, 21.22 deg, I 7, hkl 1 0 0
- 3.062 Å, 29.16 deg, I 100, hkl 1 0 1
- 2.418 Å, 37.19 deg, I 56, hkl 1 1 0
- 2.245 Å, 40.17 deg, I 15, hkl 0 0 2
- 2.129 Å, 42.46 deg, I 11, hkl 1 1 1
- 1.898 Å, 47.94 deg, I 26, hkl 2 0 1
- 1.645 Å, 55.89 deg, I 35, hkl 1 1 2
- 1.493 Å, 62.18 deg, I 24, hkl 2 1 1
- 1.409 Å, 66.33 deg, I 10, hkl 1 0 3
- 1.396 Å, 67.04 deg, I 10, hkl 3 0 0
- 1.209 Å, 79.24 deg, I 6, hkl 2 2 0

---

Structure and simulated X-ray diffraction stick pattern of Mg3TcH6 (a crystal structure in Alexandria, relaxed with GGA-PBE; Cu Kα).
Intensities are scaled so that the largest is 100.

Structural model:
```
data_Mg3TcH6
_space_group_name_H-M_alt 'R -3'
_space_group_IT_number 148
_space_group_name_Hall '-R 3'
_cell_length_a 8.2969
_cell_length_b 8.2969
_cell_length_c 9.5729
_cell_angle_alpha 90.00
_cell_angle_beta 90.00
_cell_angle_gamma 120.00
loop_
_atom_site_label
_atom_site_fract_x
_atom_site_fract_y
_atom_site_fract_z
Mg1 0.0479 0.2559 0.2049
Tc1 0.0000 0.0000 0.0000
Tc2 0.0000 0.0000 0.5000
H1 0.0262 0.2013 0.4075
H2 0.0367 0.1984 0.9017
```

The 12 most intense peaks (10° ≤ 2θ ≤ 80°), sorted by position:
- 4.148 Å, 21.42 deg, I 83, hkl 1 1 0
- 3.984 Å, 22.32 deg, I 74, hkl 0 1 2
- 2.873 Å, 31.13 deg, I 58, hkl 2 0 2
- 2.613 Å, 34.32 deg, I 22, hkl 2 1 1
- 2.395 Å, 37.55 deg, I 28, hkl 3 0 0
- 2.362 Å, 38.10 deg, I 100, hkl 3 -2 2
- 2.271 Å, 39.70 deg, I 34, hkl 1 0 4
- 2.074 Å, 43.64 deg, I 15, hkl 2 2 0
- 1.840 Å, 49.55 deg, I 21, hkl 3 1 2
- 1.796 Å, 50.85 deg, I 32, hkl 2 1 4
- 1.568 Å, 58.90 deg, I 28, hkl 1 4 0
- 1.531 Å, 60.45 deg, I 17, hkl 1 3 4

---

Structure and simulated X-ray diffraction stick pattern of AgSe (a crystal structure in Alexandria, relaxed with GGA-PBE; Cu Kα).
Intensities are scaled so that the largest is 100.

Structural model:
```
data_AgSe
_space_group_name_H-M_alt 'I m m 2'
_space_group_IT_number 44
_space_group_name_Hall 'I 2 -2'
_cell_length_a 3.988
_cell_length_b 10.244
_cell_length_c 8.087
_cell_angle_alpha 90.00
_cell_angle_beta 90.00
_cell_angle_gamma 90.00
loop_
_atom_site_label
_atom_site_fract_x
_atom_site_fract_y
_atom_site_fract_z
Ag1 0.000 0.000 0.000
Ag2 0.000 0.157 0.384
Se1 0.000 0.243 0.044
Se2 0.000 0.500 0.772
```

The 12 most intense peaks (10° ≤ 2θ ≤ 80°), sorted by position:
- 6.348 Å, 13.95 deg, I 100, hkl 0 1 1
- 4.044 Å, 21.98 deg, I 42, hkl 0 0 2
- 3.716 Å, 23.95 deg, I 28, hkl 1 1 0
- 3.576 Å, 24.90 deg, I 24, hkl 1 0 1
- 3.146 Å, 28.37 deg, I 46, hkl 0 3 1
- 2.932 Å, 30.48 deg, I 39, hkl 1 2 1
- 2.736 Å, 32.73 deg, I 50, hkl 1 1 2
- 2.607 Å, 34.40 deg, I 21, hkl 0 1 3
- 2.233 Å, 40.39 deg, I 63, hkl 1 0 3
- 2.183 Å, 41.36 deg, I 36, hkl 1 3 2
- 2.082 Å, 43.46 deg, I 72, hkl 1 4 1
- 1.994 Å, 45.49 deg, I 30, hkl 2 0 0

---

Copy entry 4 word for word.
Structure and simulated X-ray diffraction stick pattern of PrSm4Er4 (a crystal structure in Alexandria, relaxed with GGA-PBE; Cu Kα).
Intensities are scaled so that the largest is 100.

Structural model:
```
data_PrSm4Er4
_space_group_name_H-M_alt 'P -1'
_space_group_IT_number 2
_space_group_name_Hall '-P 1'
_cell_length_a 6.201
_cell_length_b 9.487
_cell_length_c 10.742
_cell_angle_alpha 100.85
_cell_angle_beta 106.70
_cell_angle_gamma 96.23
loop_
_atom_site_label
_atom_site_fract_x
_atom_site_fract_y
_atom_site_fract_z
Pr1 0.250 0.084 0.304
Sm1 0.249 0.748 0.082
Sm2 0.250 0.749 0.751
Sm3 0.251 0.085 0.641
Sm4 0.252 0.418 0.529
Er1 0.246 0.747 0.414
Er2 0.250 0.419 0.192
Er3 0.251 0.417 0.863
Er4 0.252 0.085 0.973
```

The 10 most intense peaks (10° ≤ 2θ ≤ 80°), sorted by position:
- 2.926 Å, 30.56 deg, I 100, hkl 2 0 0
- 2.534 Å, 35.43 deg, I 51, hkl 1 3 0
- 1.792 Å, 50.97 deg, I 36, hkl 3 2 -3
- 1.530 Å, 60.53 deg, I 11, hkl 3 3 0
- 1.528 Å, 60.62 deg, I 29, hkl -2 2 6
- 1.526 Å, 60.68 deg, I 4, hkl 3 1 -6
- 1.463 Å, 63.61 deg, I 12, hkl 4 0 0
- 1.268 Å, 74.86 deg, I 2, hkl 2 6 0
- 1.267 Å, 74.98 deg, I 2, hkl 2 -4 6
- 1.266 Å, 75.06 deg, I 2, hkl -4 2 6